[1]
This entry pairs a crystal structure of Ho3ThSn3 with its theoretical X-ray diffraction stick pattern. Radiation: Cu Kα, 1.54184 Å. Structure: a structure optimized by DFT (GGA-PBE).
Intensities are scaled so that the largest is 100.

Structural model:
Unit cell a=9.1392 b=9.1392 c=5.4451 alpha=90.00 beta=90.00 gamma=120.00
Space group P6_3/m (No. 176)
Unique sites:
Ho  0.0062  0.2407  0.2500 x6
Th  0.3333  0.6667  0.2500 x2
Sn  0.0740  0.4475  0.7500 x6

Most intense lines, 10 to 80 degrees two-theta, in order of rising 2θ:
27.9°, intensity 11
29.9°, intensity 23
32.9°, intensity 29
34.2°, intensity 100
45.0°, intensity 15
53.0°, intensity 15
59.6°, intensity 21
63.8°, intensity 17

***

[2]
This entry pairs a crystal structure of Ba3Y2F12 with its theoretical X-ray diffraction stick pattern. Radiation: Cu Kα, 1.54184 Å. Structure: a structure optimized by DFT (GGA-PBE).
Intensities are scaled so that the largest is 100.

Structural model:
Unit cell a=9.8109 b=9.8109 c=5.8151 alpha=90.00 beta=90.00 gamma=90.00
Space group P4/mbm (No. 127)
Unique sites:
Ba  0.0000  0.0000  0.0000 x2
Ba  0.1785  0.3215  0.5000 x4
Y  0.1339  0.6339  0.0000 x4
F  0.0000  0.5000  0.2316 x4
F  0.0593  0.7803  0.2603 x16
F  0.2010  0.2990  0.0000 x4

Most intense lines, 10 to 80 degrees two-theta, in order of rising 2θ:
23.7°, intensity 41
25.4°, intensity 100
28.8°, intensity 32
30.8°, intensity 15
37.8°, intensity 22
40.5°, intensity 18
41.0°, intensity 17
42.6°, intensity 50

***

- Number 1 is which compound?
  Ho3ThSn3